Li3TiV2O6: calculated XRD peak list (Cu Ka), based on the PBE+U geometry in Alexandria.
No peak broadening, texture or thermal motion is included.

Top 10 peaks for 2θ = 15–90°, in order of falling intensity:
2θ 18.05, d 4.913, intensity 100
2θ 43.06, d 2.101, intensity 59
2θ 41.88, d 2.157, intensity 32
2θ 35.50, d 2.529, intensity 27
2θ 61.54, d 1.507, intensity 17
2θ 61.72, d 1.503, intensity 16
2θ 34.54, d 2.597, intensity 14
2θ 46.68, d 1.946, intensity 13
2θ 56.72, d 1.623, intensity 9
2θ 61.93, d 1.498, intensity 8

Cell and atoms:
Unit cell a=5.1422 b=5.1422 c=5.2431 alpha=100.29 beta=100.29 gamma=118.45
Atoms (fractional coordinates):
Li 0.0000 0.0000 0.0000
Li 0.3323 0.6677 0.0000
Li 0.6677 0.3323 0.0000
Ti 0.5000 0.5000 0.5000
V 0.1601 0.8399 0.5000
V 0.8399 0.1601 0.5000
O 0.1028 0.4255 0.2718
O 0.2652 0.2652 0.7350
O 0.4255 0.1028 0.2718
O 0.5745 0.8972 0.7282
O 0.7348 0.7348 0.2650
O 0.8972 0.5745 0.7282